Record 1
# Li3Ga14
Theoretical powder X-ray diffraction pattern, a wavelength of 1.5418 Å. Input: a cell relaxed with GGA-PBE.
Peak positions follow from Bragg's law for the DFT cell and can differ from measured ones.

Top 10 peaks for 10 to 80 degrees two-theta, by angle:
2θ (°), d_spacing, I/Imax, index
13.18, 6.716, 28.1, 1 0 1
15.98, 5.548, 40.3, 0 1 2
24.17, 3.682, 63.9, 1 0 4
24.93, 3.572, 100.0, 0 2 1
40.29, 2.239, 35.9, 0 3 3
42.10, 2.146, 57.5, 1 2 5
42.88, 2.109, 33.0, 2 2 0
44.72, 2.027, 38.8, 0 2 7
46.04, 1.972, 32.4, 3 1 2
49.51, 1.841, 33.0, 2 0 8

Cell and atoms:
```
data_Li3Ga14
_chemical_formula_sum 'Li9 Ga42'
_cell_length_a 8.4368
_cell_length_b 8.4368
_cell_length_c 17.0509
_cell_angle_alpha 90.00
_cell_angle_beta 90.00
_cell_angle_gamma 120.00
_space_group_name_H-M_alt 'R 3 m'
_space_group_IT_number 160
_space_group_name_Hall 'R 3 -2"'
loop_
_atom_site_label
_atom_site_fract_x
_atom_site_fract_y
_atom_site_fract_z
Li1 0.1979 0.3959 0.0000
Ga1 0.0000 0.0000 0.0059
Ga2 0.0000 0.0000 0.1572
Ga3 0.0157 0.5078 0.8848
Ga4 0.1068 0.2136 0.4677
Ga5 0.1732 0.3464 0.6108
Ga6 0.2101 0.1051 0.6987
```



Record 2
# Tb3Tm6Tc
Theoretical powder X-ray diffraction pattern, a wavelength of 1.5418 Å. Input: a cell relaxed with GGA-PBE.
Peak positions follow from Bragg's law for the DFT cell and can differ from measured ones.

Top 10 peaks for 10 to 80 degrees two-theta, by angle:
2θ (°), d_spacing, I/Imax, index
29.73, 3.005, 67.7, 0 3 1
30.73, 2.910, 33.4, 3 2 0
31.01, 2.884, 100.0, 1 3 1
31.44, 2.845, 46.2, 3 0 1
32.49, 2.756, 96.3, 3 1 1
34.91, 2.570, 75.9, 0 0 2
36.80, 2.442, 29.3, 2 4 0
47.20, 1.925, 27.1, 3 2 2
51.63, 1.770, 23.2, 2 4 2
60.16, 1.538, 21.7, 1 3 3

Cell and atoms:
```
data_Tb3Tm6Tc
_chemical_formula_sum 'Tb6 Tm12 Tc2'
_cell_length_a 10.248
_cell_length_b 11.111
_cell_length_c 5.140
_cell_angle_alpha 90.00
_cell_angle_beta 90.00
_cell_angle_gamma 90.00
_space_group_name_H-M_alt 'P n n m'
_space_group_IT_number 58
loop_
_space_group_symop_operation_xyz
'x,y,z'
'-x,-y,-z'
'-x,-y,z'
'x,y,-z'
'x+1/2,-y+1/2,-z+1/2'
'-x+1/2,y+1/2,z+1/2'
'-x+1/2,y+1/2,-z+1/2'
'x+1/2,-y+1/2,z+1/2'
loop_
_atom_site_label
_atom_site_fract_x
_atom_site_fract_y
_atom_site_fract_z
Tb1 0.000 0.000 0.000
Tb2 0.105 0.211 0.500
Tm1 0.082 0.727 0.000
Tm2 0.151 0.551 0.500
Tm3 0.242 0.880 0.500
Tc1 0.000 0.500 0.000
```



Record 3
# Ce2PuTc3
Theoretical powder X-ray diffraction pattern, a wavelength of 1.5418 Å. Input: a cell relaxed with GGA-PBE.
Peak positions follow from Bragg's law for the DFT cell and can differ from measured ones.

Top 10 peaks for 10 to 80 degrees two-theta, by angle:
2θ (°), d_spacing, I/Imax, index
31.01, 2.884, 28.6, 0 2 0
31.16, 2.870, 56.5, 1 1 1
38.14, 2.359, 100.0, 2 2 -1
38.27, 2.352, 49.5, 3 1 0
38.97, 2.311, 57.3, 2 2 0
39.09, 2.305, 28.4, 0 0 2
40.74, 2.215, 52.2, 3 1 -2
60.02, 1.541, 26.8, 3 3 0
64.99, 1.435, 27.7, 2 2 2
71.97, 1.312, 28.8, 6 2 -2

Cell and atoms:
```
data_Ce2PuTc3
_chemical_formula_sum 'Ce4 Pu2 Tc6'
_cell_length_a 8.867
_cell_length_b 5.767
_cell_length_c 5.288
_cell_angle_alpha 90.00
_cell_angle_beta 119.35
_cell_angle_gamma 90.00
_space_group_name_H-M_alt 'C 1 2/m 1'
_space_group_IT_number 12
loop_
_space_group_symop_operation_xyz
'x,y,z'
'-x,-y,-z'
'-x,y,-z'
'x,-y,z'
'x+1/2,y+1/2,z'
'-x+1/2,-y+1/2,-z'
'-x+1/2,y+1/2,-z'
'x+1/2,-y+1/2,z'
loop_
_atom_site_label
_atom_site_fract_x
_atom_site_fract_y
_atom_site_fract_z
Ce1 0.119 0.000 0.381
Pu1 0.000 0.500 0.000
Tc1 0.000 0.500 0.500
Tc2 0.250 0.250 0.000
```



Copy entry 2 word for word.
# Tb3Tm6Tc
Theoretical powder X-ray diffraction pattern, a wavelength of 1.5418 Å. Input: a cell relaxed with GGA-PBE.
Peak positions follow from Bragg's law for the DFT cell and can differ from measured ones.

Top 10 peaks for 10 to 80 degrees two-theta, by angle:
2θ (°), d_spacing, I/Imax, index
29.73, 3.005, 67.7, 0 3 1
30.73, 2.910, 33.4, 3 2 0
31.01, 2.884, 100.0, 1 3 1
31.44, 2.845, 46.2, 3 0 1
32.49, 2.756, 96.3, 3 1 1
34.91, 2.570, 75.9, 0 0 2
36.80, 2.442, 29.3, 2 4 0
47.20, 1.925, 27.1, 3 2 2
51.63, 1.770, 23.2, 2 4 2
60.16, 1.538, 21.7, 1 3 3

Cell and atoms:
```
data_Tb3Tm6Tc
_chemical_formula_sum 'Tb6 Tm12 Tc2'
_cell_length_a 10.248
_cell_length_b 11.111
_cell_length_c 5.140
_cell_angle_alpha 90.00
_cell_angle_beta 90.00
_cell_angle_gamma 90.00
_space_group_name_H-M_alt 'P n n m'
_space_group_IT_number 58
loop_
_space_group_symop_operation_xyz
'x,y,z'
'-x,-y,-z'
'-x,-y,z'
'x,y,-z'
'x+1/2,-y+1/2,-z+1/2'
'-x+1/2,y+1/2,z+1/2'
'-x+1/2,y+1/2,-z+1/2'
'x+1/2,-y+1/2,z+1/2'
loop_
_atom_site_label
_atom_site_fract_x
_atom_site_fract_y
_atom_site_fract_z
Tb1 0.000 0.000 0.000
Tb2 0.105 0.211 0.500
Tm1 0.082 0.727 0.000
Tm2 0.151 0.551 0.500
Tm3 0.242 0.880 0.500
Tc1 0.000 0.500 0.000
```